Entry 1:
Structure and simulated X-ray diffraction stick pattern of La5PmY12 (the GGA-PBE geometry in Alexandria; λ = 1.5418 Å (Cu Kα)).
Peak positions follow from Bragg's law for the DFT cell and can differ from measured ones.

Largest 8 diffraction maxima, by angle, 2θ = 10–80°:
two_theta  d [Å]  I (rel.)  h k l
30.1  2.966  100  6 0 0
30.2  2.956  99  3 3 -1
35.0  2.566  67  3 3 1
35.0  2.561  33  6 0 -2
50.4  1.812  58  9 3 -1
59.7  1.549  28  9 3 1
59.9  1.545  55  12 0 -2
62.6  1.483  12  12 0 0

Cell and atoms:
Cell lengths 18.8504, 10.8598, 6.2829 Å; angles 90.00, 109.22, 90.00 degrees
Space group C2/m (No. 12)
One atom of each set of equivalent atoms:
La  0.0000  0.0000  0.0000 [2 per cell]
La  0.1663  0.0000  0.5004 [4 per cell]
La  0.1659  0.5000  0.9990 [4 per cell]
Pm  0.0000  0.5000  0.5000 [2 per cell]
Y  0.0000  0.1698  0.5000 [4 per cell]
Y  0.0000  0.3324  0.0000 [4 per cell]
Y  0.1659  0.3322  0.4986 [8 per cell]
Y  0.1667  0.1688  0.0006 [8 per cell]



Entry 2:
Structure and simulated X-ray diffraction stick pattern of Cs2CaMgH6 (the GGA-PBE geometry in Alexandria; λ = 1.5418 Å (Cu Kα)).
Peak positions follow from Bragg's law for the DFT cell and can differ from measured ones.

Largest 8 diffraction maxima, by angle, 2θ = 10–80°:
two_theta  d [Å]  I (rel.)  h k l
20.0  4.440  40  1 0 0
20.3  4.373  19  0 0 2
28.4  3.140  52  1 1 0
28.6  3.116  100  1 0 2
35.2  2.551  21  1 1 2
40.6  2.220  21  2 0 0
50.5  1.808  40  2 1 2
50.9  1.794  19  1 1 4

Cell and atoms:
Cell lengths 4.4404, 4.4404, 8.7466 Å; angles 90.00, 90.00, 90.00 degrees
Space group P4/mmm (No. 123)
One atom of each set of equivalent atoms:
Cs  0.0000  0.0000  0.2381 [2 per cell]
Ca  0.5000  0.5000  0.5000 [1 per cell]
Mg  0.5000  0.5000  0.0000 [1 per cell]
H  0.0000  0.5000  0.0000 [2 per cell]
H  0.0000  0.5000  0.5000 [2 per cell]
H  0.5000  0.5000  0.2259 [2 per cell]



Entry 3:
Structure and simulated X-ray diffraction stick pattern of YPSe (the GGA-PBE geometry in Alexandria; λ = 1.5418 Å (Cu Kα)).
Peak positions follow from Bragg's law for the DFT cell and can differ from measured ones.

Largest 8 diffraction maxima, by angle, 2θ = 10–80°:
two_theta  d [Å]  I (rel.)  h k l
10.1  8.787  47  0 2 0
30.5  2.929  43  0 6 0
33.1  2.708  100  1 0 1
34.3  2.615  62  0 5 1
34.7  2.588  79  1 2 1
35.0  2.565  56  1 5 0
39.1  2.305  79  1 4 1
46.4  1.956  33  0 0 2

Cell and atoms:
Cell lengths 3.7520, 17.5743, 3.9124 Å; angles 90.00, 90.00, 90.00 degrees
Space group Imm2 (No. 44)
One atom of each set of equivalent atoms:
Y  0.0000  0.1350  0.0000 [4 per cell]
P  0.0000  0.0000  0.4677 [2 per cell]
P  0.0000  0.5000  0.6006 [2 per cell]
Se  0.0000  0.3118  0.0023 [4 per cell]